No. 1
# K3InBr6
Simulated X-ray powder pattern, Cu Kα (λ = 1.5418 Å). Input: a structure optimized by DFT (GGA-PBE).

Structure:
```
data_K3InBr6
_cell_length_a 13.180
_cell_length_b 16.386
_cell_length_c 8.006
_cell_angle_alpha 90.00
_cell_angle_beta 90.00
_cell_angle_gamma 90.00
_space_group_name_H-M_alt 'C m c 21'
_space_group_IT_number 36
_space_group_name_Hall 'C 2c -2'
loop_
_atom_site_label
_atom_site_type_symbol
_atom_site_fract_x
_atom_site_fract_y
_atom_site_fract_z
K1 K 0.000 0.066 0.000
K2 K 0.204 0.404 0.907
In1 In 0.000 0.307 0.313
Br1 Br 0.000 0.306 0.630
Br2 Br 0.000 0.452 0.192
Br3 Br 0.152 0.235 0.179
Br4 Br 0.169 0.037 0.715
```

Largest 10 diffraction maxima, by angle, 2θ = 10–90°:
2θ/deg  I_rel  index
14.03  68  1 1 1
17.58  39  1 3 0
20.55  45  2 2 1
20.93  44  3 1 0
22.21  48  0 0 2
24.41  37  0 4 1
28.35  100  3 3 1
30.70  76  3 1 2
31.25  38  0 4 2
34.13  46  3 5 0

No. 2
# Nd2PdRh
Simulated X-ray powder pattern, Cu Kα (λ = 1.5418 Å). Input: a structure optimized by DFT (GGA-PBE).

Structure:
```
data_Nd2PdRh
_cell_length_a 5.819
_cell_length_b 4.469
_cell_length_c 7.790
_cell_angle_alpha 90.00
_cell_angle_beta 109.86
_cell_angle_gamma 90.00
_space_group_name_H-M_alt 'P 1 21/m 1'
_space_group_IT_number 11
_space_group_name_Hall '-P 2yb'
loop_
_atom_site_label
_atom_site_type_symbol
_atom_site_fract_x
_atom_site_fract_y
_atom_site_fract_z
Nd1 Nd 0.220 0.250 0.435
Nd2 Nd 0.228 0.250 0.927
Pd1 Pd 0.328 0.750 0.206
Rh1 Rh 0.324 0.750 0.709
```

Largest 10 diffraction maxima, by angle, 2θ = 10–90°:
2θ/deg  I_rel  index
31.55  100  1 1 -2
32.73  33  2 0 0
38.58  19  2 1 0
39.31  33  2 1 -2
39.47  32  1 1 2
40.37  30  0 2 0
46.64  19  1 0 -4
52.90  17  2 2 0
63.35  15  1 2 -4
67.91  11  1 3 -2

No. 3
# ErAl7Au3
Simulated X-ray powder pattern, Cu Kα (λ = 1.5418 Å). Input: a structure optimized by DFT (GGA-PBE).

Structure:
```
data_ErAl7Au3
_cell_length_a 8.0825
_cell_length_b 8.0825
_cell_length_c 21.1060
_cell_angle_alpha 90.00
_cell_angle_beta 90.00
_cell_angle_gamma 120.00
_space_group_name_H-M_alt 'R -3 c'
_space_group_IT_number 167
_space_group_name_Hall '-R 3 2"c'
loop_
_atom_site_label
_atom_site_type_symbol
_atom_site_fract_x
_atom_site_fract_y
_atom_site_fract_z
Er1 Er 0.0000 0.0000 0.0000
Al1 Al 0.0000 0.0000 0.2500
Al2 Al 0.0107 0.2070 0.1368
Au1 Au 0.0000 0.3244 0.2500
```

Largest 10 diffraction maxima, by angle, 2θ = 10–90°:
2θ/deg  I_rel  index
25.41  100  1 1 3
33.78  36  1 1 6
38.59  39  3 0 0
44.68  31  1 1 9
46.75  43  2 2 3
52.21  10  2 2 6
62.19  18  4 1 3
66.58  18  3 0 12
66.77  12  1 4 6
74.07  11  4 1 9

No. 4
# SrMn2Re
Simulated X-ray powder pattern, Cu Kα (λ = 1.5418 Å). Input: a structure optimized by DFT (GGA-PBE).

Structure:
```
data_SrMn2Re
_cell_length_a 3.125
_cell_length_b 3.125
_cell_length_c 7.816
_cell_angle_alpha 90.00
_cell_angle_beta 90.00
_cell_angle_gamma 90.00
_space_group_name_H-M_alt 'P 4/m m m'
_space_group_IT_number 123
_space_group_name_Hall '-P 4 2'
loop_
_atom_site_label
_atom_site_type_symbol
_atom_site_fract_x
_atom_site_fract_y
_atom_site_fract_z
Sr1 Sr 0.000 0.000 0.000
Mn1 Mn 0.500 0.500 0.323
Re1 Re 0.000 0.000 0.500
```

Largest 10 diffraction maxima, by angle, 2θ = 10–90°:
2θ/deg  I_rel  index
11.32  74  0 0 1
22.76  30  0 0 2
28.57  21  1 0 0
36.83  100  1 0 2
40.84  47  1 1 0
45.32  20  1 0 3
47.26  18  1 1 2
55.46  24  1 0 4
59.13  17  2 0 0
71.73  28  2 1 2

No. 5
# DyYEr4
Simulated X-ray powder pattern, Cu Kα (λ = 1.5418 Å). Input: a structure optimized by DFT (GGA-PBE).

Structure:
```
data_DyYEr4
_cell_length_a 8.711
_cell_length_b 14.568
_cell_length_c 6.415
_cell_angle_alpha 90.00
_cell_angle_beta 110.38
_cell_angle_gamma 90.00
_space_group_name_H-M_alt 'C 1 2/c 1'
_space_group_IT_number 15
_space_group_name_Hall '-C 2yc'
loop_
_atom_site_label
_atom_site_type_symbol
_atom_site_fract_x
_atom_site_fract_y
_atom_site_fract_z
Dy1 Dy 0.000 0.000 0.250
Y1 Y 0.000 0.414 0.250
Er1 Er 0.093 0.196 0.535
Er2 Er 0.203 0.370 0.878
```

Largest 10 diffraction maxima, by angle, 2θ = 10–90°:
2θ/deg  I_rel  index
12.43  18  1 1 0
28.11  24  1 3 1
31.61  61  3 1 -1
32.21  31  0 2 2
32.63  75  1 5 0
32.91  100  2 2 1
33.49  77  1 3 -2
50.94  14  1 1 3
53.21  14  4 2 -3
59.77  19  5 3 0

No. 6
# Ba2Cd2F7
Simulated X-ray powder pattern, Cu Kα (λ = 1.5418 Å). Input: a structure optimized by DFT (GGA-PBE).

Structure:
```
data_Ba2Cd2F7
_cell_length_a 8.300
_cell_length_b 8.749
_cell_length_c 5.789
_cell_angle_alpha 90.00
_cell_angle_beta 90.00
_cell_angle_gamma 90.00
_space_group_name_H-M_alt 'C m m m'
_space_group_IT_number 65
_space_group_name_Hall '-C 2 2'
loop_
_atom_site_label
_atom_site_type_symbol
_atom_site_fract_x
_atom_site_fract_y
_atom_site_fract_z
Ba1 Ba 0.248 0.000 0.000
Cd1 Cd 0.000 0.268 0.500
F1 F 0.000 0.000 0.500
F2 F 0.000 0.500 0.262
F3 F 0.250 0.250 0.257
```

Largest 10 diffraction maxima, by angle, 2θ = 10–90°:
2θ/deg  I_rel  index
25.52  90  0 2 1
26.43  100  2 0 1
29.67  33  2 2 0
30.89  20  0 0 2
41.28  21  0 4 0
43.37  66  2 2 2
43.62  19  4 0 0
49.68  31  2 4 1
51.22  26  4 2 1
69.95  16  6 0 1

No. 7
# Cs8Rb6Te
Simulated X-ray powder pattern, Cu Kα (λ = 1.5418 Å). Input: a structure optimized by DFT (GGA-PBE).

Structure:
```
data_Cs8Rb6Te
_cell_length_a 13.9890
_cell_length_b 13.9890
_cell_length_c 8.5932
_cell_angle_alpha 90.00
_cell_angle_beta 90.00
_cell_angle_gamma 120.00
_space_group_name_H-M_alt 'P -3'
_space_group_IT_number 147
_space_group_name_Hall '-P 3'
loop_
_atom_site_label
_atom_site_type_symbol
_atom_site_fract_x
_atom_site_fract_y
_atom_site_fract_z
Cs1 Cs 0.0416 0.8032 0.2634
Cs2 Cs 0.3333 0.6667 0.2551
Rb1 Rb 0.0981 0.6106 0.7554
Te1 Te 0.0000 0.0000 0.5000
```

Largest 10 diffraction maxima, by angle, 2θ = 10–90°:
2θ/deg  I_rel  index
19.39  16  1 2 0
20.67  21  0 0 2
22.00  100  3 -1 1
28.49  27  3 -1 2
33.91  27  4 1 0
37.02  26  1 2 3
40.05  23  4 1 2
40.79  19  2 4 1
54.05  17  7 0 1
55.08  12  4 1 4

No. 8
# Hg6Sb2I2Br
Simulated X-ray powder pattern, Cu Kα (λ = 1.5418 Å). Input: a structure optimized by DFT (GGA-PBE).

Structure:
```
data_Hg6Sb2I2Br
_cell_length_a 7.185
_cell_length_b 7.407
_cell_length_c 7.962
_cell_angle_alpha 111.43
_cell_angle_beta 96.65
_cell_angle_gamma 93.14
_space_group_name_H-M_alt 'P -1'
_space_group_IT_number 2
_space_group_name_Hall '-P 1'
loop_
_atom_site_label
_atom_site_type_symbol
_atom_site_fract_x
_atom_site_fract_y
_atom_site_fract_z
Hg1 Hg 0.131 0.438 0.370
Hg2 Hg 0.142 0.181 0.596
Hg3 Hg 0.341 0.811 0.120
Sb1 Sb 0.181 0.432 0.021
I1 I 0.443 0.822 0.689
Br1 Br 0.000 0.000 0.000
```

Largest 10 diffraction maxima, by angle, 2θ = 10–90°:
2θ/deg  I_rel  index
18.63  31  1 0 1
25.00  51  1 1 -2
25.67  47  1 0 -2
25.91  44  1 1 1
27.06  100  2 -1 0
29.53  32  2 1 0
30.11  36  1 2 0
31.28  57  1 -2 2
36.02  30  1 1 2
40.13  44  1 3 -2

No. 9
# Li2PrAsPd2
Simulated X-ray powder pattern, Cu Kα (λ = 1.5418 Å). Input: a structure optimized by DFT (GGA-PBE).

Structure:
```
data_Li2PrAsPd2
_cell_length_a 4.472
_cell_length_b 4.472
_cell_length_c 5.831
_cell_angle_alpha 90.00
_cell_angle_beta 90.00
_cell_angle_gamma 90.00
_space_group_name_H-M_alt 'P 4/m m m'
_space_group_IT_number 123
_space_group_name_Hall '-P 4 2'
loop_
_atom_site_label
_atom_site_type_symbol
_atom_site_fract_x
_atom_site_fract_y
_atom_site_fract_z
Li1 Li 0.000 0.500 0.000
Pr1 Pr 0.000 0.000 0.500
As1 As 0.000 0.000 0.000
Pd1 Pd 0.500 0.500 0.268
```

Largest 10 diffraction maxima, by angle, 2θ = 10–90°:
2θ/deg  I_rel  index
28.22  100  1 1 0
36.80  100  1 0 2
40.34  42  2 0 0
55.74  59  2 1 2
58.37  14  2 2 0
66.08  17  3 1 0
71.03  14  3 0 2
71.24  12  1 1 4
78.30  10  2 0 4
84.99  18  3 2 2

No. 10
# Tb2ScS4
Simulated X-ray powder pattern, Cu Kα (λ = 1.5418 Å). Input: a structure optimized by DFT (GGA-PBE).

Structure:
```
data_Tb2ScS4
_cell_length_a 6.989
_cell_length_b 10.964
_cell_length_c 3.947
_cell_angle_alpha 90.00
_cell_angle_beta 90.00
_cell_angle_gamma 90.00
_space_group_name_H-M_alt 'P b a m'
_space_group_IT_number 55
_space_group_name_Hall '-P 2 2ab'
loop_
_atom_site_label
_atom_site_type_symbol
_atom_site_fract_x
_atom_site_fract_y
_atom_site_fract_z
Tb1 Tb 0.106 0.186 0.000
Sc1 Sc 0.000 0.500 0.500
S1 S 0.122 0.717 0.500
S2 S 0.240 0.450 0.000
```

Largest 10 diffraction maxima, by angle, 2θ = 10–90°:
2θ/deg  I_rel  index
16.17  33  0 2 0
22.53  34  0 0 1
26.78  29  2 1 0
27.19  27  1 1 1
27.54  37  1 3 0
35.24  100  2 1 1
35.87  27  1 3 1
42.16  31  3 2 0
45.99  17  0 0 2
49.30  22  1 5 1

No. 11
# LiCu6OF11
Simulated X-ray powder pattern, Cu Kα (λ = 1.5418 Å). Input: a structure optimized by DFT (GGA-PBE).

Structure:
```
data_LiCu6OF11
_cell_length_a 4.775
_cell_length_b 5.347
_cell_length_c 8.683
_cell_angle_alpha 92.82
_cell_angle_beta 91.39
_cell_angle_gamma 90.05
_space_group_name_H-M_alt 'P 1'
_space_group_IT_number 1
_space_group_name_Hall 'P 1'
loop_
_atom_site_label
_atom_site_type_symbol
_atom_site_fract_x
_atom_site_fract_y
_atom_site_fract_z
Li1 Li 0.000 0.000 0.000
Cu1 Cu 0.481 0.116 0.201
Cu2 Cu 0.481 0.836 0.847
Cu3 Cu 0.496 0.460 0.524
Cu4 Cu 0.902 0.390 0.790
Cu5 Cu 0.981 0.980 0.526
Cu6 Cu 0.993 0.602 0.204
O1 O 0.788 0.262 0.599
F1 F 0.158 0.021 0.796
F2 F 0.163 0.299 0.115
F3 F 0.189 0.675 0.449
F4 F 0.285 0.816 0.113
F5 F 0.289 0.170 0.443
F6 F 0.290 0.530 0.771
F7 F 0.666 0.146 0.927
F8 F 0.672 0.421 0.275
F9 F 0.695 0.760 0.606
F10 F 0.803 0.664 0.944
F11 F 0.807 0.923 0.259
```

Largest 10 diffraction maxima, by angle, 2θ = 10–90°:
2θ/deg  I_rel  index
26.61  100  1 1 -1
26.92  75  1 -1 1
30.94  62  0 0 3
32.77  39  -1 1 2
33.40  35  1 1 2
35.67  25  0 2 1
48.04  20  1 1 -4
48.88  29  2 0 -3
55.07  21  1 3 0
55.94  24  0 2 4

No. 12
# Na3PuF6
Simulated X-ray powder pattern, Cu Kα (λ = 1.5418 Å). Input: a structure optimized by DFT (GGA-PBE).

Structure:
```
data_Na3PuF6
_cell_length_a 5.7073
_cell_length_b 5.7073
_cell_length_c 11.7362
_cell_angle_alpha 90.00
_cell_angle_beta 90.00
_cell_angle_gamma 120.00
_space_group_name_H-M_alt 'P 63 2 2'
_space_group_IT_number 182
_space_group_name_Hall 'P 6c 2c'
loop_
_atom_site_label
_atom_site_type_symbol
_atom_site_fract_x
_atom_site_fract_y
_atom_site_fract_z
Na1 Na 0.0000 0.0000 0.0000
Na2 Na 0.3333 0.6667 0.0406
Pu1 Pu 0.3333 0.6667 0.7500
F1 F 0.0453 0.3634 0.6164
```

Largest 10 diffraction maxima, by angle, 2θ = 10–90°:
2θ/deg  I_rel  index
15.10  16  0 0 2
17.95  21  1 0 0
19.49  100  1 0 1
23.53  22  1 0 2
29.11  44  1 0 3
31.35  24  1 1 0
34.96  17  1 1 2
43.31  21  2 0 3
44.28  34  1 1 4
54.43  19  2 1 3